Starting from DFT lattice parameters and positions (PBE), the X-ray powder pattern of LiB2Pt4 was calculated for copper Kα.

Cell and atoms:
abc: 8.7640 6.3401 7.2988
angles: 90.00 114.83 90.00
Space group C2 (No. 5)
Unique sites:
Li  0.0000  0.0000  0.0000
Li  0.0000  0.3714  0.5000
B  0.1330  0.6801  0.4233
B  0.1968  0.4534  0.0028
Pt  0.0645  0.4211  0.2082
Pt  0.1374  0.0096  0.4248
Pt  0.1494  0.7067  0.7452
Pt  0.2267  0.2219  0.8170

The 10 most intense peaks (2θ = 10–90°), most intense first:
Position (°2θ)  Rel. int.  h k l
35.2  100  2 2 -1
36.4  61  1 1 2
39.3  54  2 2 -2
36.2  51  2 2 0
26.9  45  0 0 2
41.6  40  4 0 -1
19.4  30  1 1 -1
33.8  30  3 1 -1
47.4  29  2 2 -3
44.2  27  3 1 1

=====

Starting from DFT lattice parameters and positions (PBE), the X-ray powder pattern of BiHRh2 was calculated for copper Kα.

Cell and atoms:
abc: 6.3102 9.5828 4.0533
angles: 90.00 90.50 90.00
Space group Cc (No. 9)
Unique sites:
Bi  0.0000  0.1686  0.0000
H  0.3402  0.0582  0.5993
Rh  0.2360  0.4028  0.9968
Rh  0.4277  0.1072  0.9924

The 10 most intense peaks (2θ = 10–90°), most intense first:
Position (°2θ)  Rel. int.  h k l
40.7  100  2 2 -1
41.0  95  2 2 1
28.9  63  0 2 1
27.9  54  1 1 1
44.7  53  0 0 2
27.7  50  1 1 -1
31.4  42  1 3 0
37.5  36  0 4 0
28.3  33  2 0 0
43.9  28  0 4 1

=====

Starting from DFT lattice parameters and positions (PBE), the X-ray powder pattern of AcYAlHg was calculated for copper Kα.

Cell and atoms:
abc: 7.7402 7.7402 7.7402
angles: 90.00 90.00 90.00
Space group F-43m (No. 216)
Unique sites:
Ac  0.0000  0.0000  0.0000
Y  0.0000  0.0000  0.5000
Al  0.2500  0.2500  0.2500
Hg  0.2500  0.2500  0.7500

The 10 most intense peaks (2θ = 10–90°), most intense first:
Position (°2θ)  Rel. int.  h k l
32.7  100  2 2 0
58.4  39  4 2 2
19.9  35  1 1 1
38.6  21  3 1 1
47.0  18  4 0 0
78.1  17  6 2 0
68.6  12  4 4 0
51.5  9  3 3 1
62.3  7  5 1 1
72.2  7  5 3 1

=====

Starting from DFT lattice parameters and positions (PBE), the X-ray powder pattern of SrAl2HgCl was calculated for copper Kα.

Cell and atoms:
abc: 4.9394 4.9394 6.7057
angles: 90.00 90.00 90.00
Space group P4/mmm (No. 123)
Unique sites:
Sr  0.0000  0.0000  0.0000
Al  0.0000  0.5000  0.5000
Hg  0.5000  0.5000  0.5000
Cl  0.5000  0.5000  0.0000

The 10 most intense peaks (2θ = 10–90°), most intense first:
Position (°2θ)  Rel. int.  h k l
22.4  100  1 0 1
25.5  43  1 1 0
26.6  38  0 0 2
43.1  38  2 1 1
45.6  35  2 0 2
36.4  33  2 0 0
37.2  32  1 1 2
18.0  29  1 0 0
13.2  21  0 0 1
44.5  17  1 0 3

=====

Starting from DFT lattice parameters and positions (PBE), the X-ray powder pattern of CeAlPH was calculated for copper Kα.

Cell and atoms:
abc: 7.2487 4.1574 4.0959
angles: 90.00 90.01 90.00
Space group Cm (No. 8)
Unique sites:
Ce  0.0000  0.0000  0.0000
Al  0.3333  0.0000  0.5010
P  0.1659  0.5000  0.5014
H  0.3328  0.0000  0.0056

The 10 most intense peaks (2θ = 10–90°), most intense first:
Position (°2θ)  Rel. int.  h k l
33.1  100  1 1 -1
24.7  29  1 1 0
43.3  22  3 1 0
24.6  15  2 0 0
55.7  15  2 2 1
63.6  14  3 1 2
51.3  13  2 0 -2
21.7  11  0 0 1
43.5  11  0 2 0
44.2  10  0 0 2